Theoretical powder diffractogram of CaNdAlO4 for Cu Kα, from a cell relaxed with GGA-PBE.

Structure:
abc: 6.6486 6.6486 6.6486
angles: 147.61 147.61 46.46
Fractional positions:
Ca 0.0000 0.0000 0.0000
Nd 0.7149 0.7149 0.0000
Al 0.3662 0.3662 0.0000
O 0.1886 0.1886 0.0000
O 0.3539 0.8539 0.5000
O 0.5228 0.5228 0.0000
O 0.8539 0.3539 0.5000

Peak list (10 most intense, 15 to 90 degrees two-theta, by angle)
2theta  I (rel.)
25.09  802
29.24  210
32.65  1000
34.19  713
37.31  321
44.43  417
45.59  525
49.13  408
60.24  362
68.39  307